No. 1
Starting from a structure optimized by DFT (PBE), the powder diffractogram of NaGeBi was computed for Cu Kα (λ = 1.5418 Å).

Peak list (12 most intense, 10° ≤ 2θ ≤ 90°, low angle first)
d = 6.024 Å, 14.70°, I 91; d = 3.584 Å, 24.84°, I 100; d = 3.390 Å, 26.29°, I 23; d = 2.842 Å, 31.47°, I 95; d = 2.571 Å, 34.90°, I 49; d = 2.110 Å, 42.85°, I 73; d = 1.992 Å, 45.53°, I 34; d = 1.922 Å, 47.30°, I 25; d = 1.819 Å, 50.15°, I 16; d = 1.695 Å, 54.11°, I 21; d = 1.322 Å, 71.37°, I 19; d = 1.219 Å, 78.48°, I 17

Crystal structure
Unit cell a=6.499 b=6.499 c=6.499 alpha=37.91 beta=37.91 gamma=37.91
Sites, in units of the cell vectors:
1 Na 0.000 0.000 0.000
2 Ge 0.553 0.553 0.553
3 Bi 0.807 0.807 0.807

No. 2
Starting from a structure optimized by DFT (PBE), the powder diffractogram of Li2PmAs2Pt2 was computed for Cu Kα (λ = 1.5418 Å).

Peak list (12 most intense, 10° ≤ 2θ ≤ 90°, low angle first)
d = 3.926 Å, 22.65°, I 45; d = 3.664 Å, 24.29°, I 32; d = 3.538 Å, 25.17°, I 38; d = 3.139 Å, 28.44°, I 21; d = 2.914 Å, 30.68°, I 75; d = 2.492 Å, 36.04°, I 100; d = 2.142 Å, 42.20°, I 100; d = 1.880 Å, 48.41°, I 36; d = 1.657 Å, 55.44°, I 19; d = 1.624 Å, 56.67°, I 27; d = 1.447 Å, 64.38°, I 40; d = 1.294 Å, 73.12°, I 26

Crystal structure
Unit cell a=8.232 b=8.232 c=8.232 alpha=30.16 beta=30.16 gamma=30.16
Sites, in units of the cell vectors:
1 Li 0.142 0.142 0.142
2 Li 0.858 0.858 0.858
3 Pm 0.000 0.000 0.000
4 As 0.253 0.253 0.253
5 As 0.747 0.747 0.747
6 Pt 0.426 0.426 0.426
7 Pt 0.574 0.574 0.574

No. 3
Starting from a structure optimized by DFT (PBE), the powder diffractogram of CaSm6Tm8 was computed for Cu Kα (λ = 1.5418 Å).

Peak list (12 most intense, 10° ≤ 2θ ≤ 90°, low angle first)
d = 8.788 Å, 10.06°, I 24; d = 3.322 Å, 26.84°, I 9; d = 2.929 Å, 30.52°, I 24; d = 2.880 Å, 31.06°, I 100; d = 2.612 Å, 34.34°, I 67; d = 2.055 Å, 44.08°, I 19; d = 1.820 Å, 50.13°, I 10; d = 1.662 Å, 55.26°, I 21; d = 1.623 Å, 56.72°, I 10; d = 1.607 Å, 57.34°, I 16; d = 1.439 Å, 64.78°, I 9; d = 1.306 Å, 72.37°, I 8

Crystal structure
Unit cell a=10.148 b=10.148 c=5.765 alpha=90.00 beta=90.00 gamma=120.00
Sites, in units of the cell vectors:
1 Ca 0.000 0.000 0.000
2 Sm 0.156 0.445 0.000
3 Sm 0.290 0.844 0.000
4 Sm 0.445 0.290 0.000
5 Sm 0.555 0.710 0.000
6 Sm 0.710 0.156 0.000
7 Sm 0.844 0.555 0.000
8 Tm 0.026 0.683 0.500
9 Tm 0.317 0.342 0.500
10 Tm 0.333 0.667 0.500
11 Tm 0.342 0.026 0.500
12 Tm 0.658 0.974 0.500
13 Tm 0.667 0.333 0.500
14 Tm 0.683 0.658 0.500
15 Tm 0.974 0.317 0.500

No. 4
Starting from a structure optimized by DFT (PBE), the powder diffractogram of CsGe2N3 was computed for Cu Kα (λ = 1.5418 Å).

Peak list (12 most intense, 10° ≤ 2θ ≤ 90°, low angle first)
d = 2.996 Å, 29.82°, I 47; d = 2.742 Å, 32.66°, I 52; d = 2.693 Å, 33.26°, I 92; d = 2.629 Å, 34.10°, I 100; d = 2.023 Å, 44.81°, I 31; d = 1.766 Å, 51.76°, I 21; d = 1.574 Å, 58.67°, I 22; d = 1.560 Å, 59.21°, I 21; d = 1.485 Å, 62.56°, I 23; d = 1.452 Å, 64.12°, I 16; d = 1.445 Å, 64.48°, I 29; d = 1.159 Å, 83.42°, I 12

Crystal structure
Unit cell a=5.996 b=5.996 c=5.484 alpha=90.00 beta=90.00 gamma=62.09
Sites, in units of the cell vectors:
1 Cs 0.153 0.847 0.500
2 Cs 0.847 0.153 0.000
3 Ge 0.189 0.463 0.996
4 Ge 0.463 0.189 0.496
5 Ge 0.537 0.811 0.996
6 Ge 0.811 0.537 0.496
7 N 0.141 0.373 0.665
8 N 0.335 0.665 0.007
9 N 0.373 0.141 0.165
10 N 0.627 0.859 0.665
11 N 0.665 0.335 0.507
12 N 0.859 0.627 0.165